Calculated X-ray diffraction stick pattern of Li5MnF8 for Cu Kα, 1.54184 Å, from a crystal structure in Alexandria, relaxed with PBE+U.
Peak positions follow from Bragg's law for the DFT cell and can differ from measured ones.

Atomic structure:
```
data_Li5MnF8
_symmetry_space_group_name_H-M 'I m m m'
_symmetry_Int_Tables_number 71
_symmetry_space_group_name_Hall '-I 2 2'
_cell_length_a 5.6969
_cell_length_b 5.8333
_cell_length_c 8.9165
_cell_angle_alpha 90.00
_cell_angle_beta 90.00
_cell_angle_gamma 90.00
loop_
_atom_site_label
_atom_site_type_symbol
_atom_site_fract_x
_atom_site_fract_y
_atom_site_fract_z
Li1 Li 0.0000 0.0000 0.0000
Li2 Li 0.2500 0.2500 0.2500
Mn1 Mn 0.0000 0.5000 0.0000
F1 F 0.0000 0.0000 0.2252
F2 F 0.0000 0.5000 0.2370
F3 F 0.2284 0.2662 0.0000
```

Peak list (12 most intense, 2θ from 10° to 90°, sorted by position)
| Position (°2θ) | I_rel | h k l |
| --- | --- | --- |
| 18.17 | 48 | 0 1 1 |
| 18.48 | 100 | 1 0 1 |
| 21.81 | 27 | 1 1 0 |
| 29.70 | 23 | 1 1 2 |
| 33.85 | 14 | 0 1 3 |
| 36.03 | 19 | 1 2 1 |
| 36.83 | 12 | 0 2 2 |
| 37.47 | 11 | 2 0 2 |
| 40.47 | 47 | 0 0 4 |
| 44.46 | 72 | 2 2 0 |
| 53.88 | 12 | 1 0 5 |
| 61.67 | 41 | 2 2 4 |

Calculated X-ray diffraction stick pattern of Li3Mn2F7 for Cu Kα, 1.54184 Å, from a crystal structure in Alexandria, relaxed with PBE+U.
Peak positions follow from Bragg's law for the DFT cell and can differ from measured ones.

Atomic structure:
```
data_Li3Mn2F7
_symmetry_space_group_name_H-M 'C 1 2/c 1'
_symmetry_Int_Tables_number 15
_cell_length_a 11.0024
_cell_length_b 5.2657
_cell_length_c 9.9137
_cell_angle_alpha 90.00
_cell_angle_beta 100.18
_cell_angle_gamma 90.00
loop_
_symmetry_equiv_pos_as_xyz
'x,y,z'
'-x,-y,-z'
'-x,y,-z+1/2'
'x,-y,z+1/2'
'x+1/2,y+1/2,z'
'-x+1/2,-y+1/2,-z'
'-x+1/2,y+1/2,-z+1/2'
'x+1/2,-y+1/2,z+1/2'
loop_
_atom_site_label
_atom_site_type_symbol
_atom_site_fract_x
_atom_site_fract_y
_atom_site_fract_z
Li1 Li 0.0729 0.2332 0.1641
Li2 Li 0.2500 0.2500 0.5000
Mn1 Mn 0.1609 0.2513 0.8438
F1 F 0.0000 0.4483 0.7500
F2 F 0.0883 0.1046 0.3740
F3 F 0.1636 0.4124 0.0434
F4 F 0.2098 0.0558 0.6697
```

Peak list (12 most intense, 2θ from 10° to 90°, sorted by position)
| Position (°2θ) | I_rel | h k l |
| --- | --- | --- |
| 16.37 | 47 | 2 0 0 |
| 20.20 | 100 | 1 1 -1 |
| 22.27 | 49 | 2 0 -2 |
| 30.07 | 36 | 3 1 -1 |
| 32.16 | 31 | 1 1 -3 |
| 32.70 | 36 | 3 1 1 |
| 37.64 | 52 | 2 0 -4 |
| 38.42 | 29 | 2 2 -1 |
| 40.26 | 28 | 1 1 -4 |
| 47.83 | 29 | 5 1 1 |
| 49.59 | 41 | 4 2 -2 |
| 52.16 | 29 | 3 1 -5 |

Calculated X-ray diffraction stick pattern of LiMn2F9 for Cu Kα, 1.54184 Å, from a crystal structure in Alexandria, relaxed with PBE+U.
Peak positions follow from Bragg's law for the DFT cell and can differ from measured ones.

Atomic structure:
```
data_LiMn2F9
_symmetry_space_group_name_H-M 'P -1'
_symmetry_Int_Tables_number 2
_cell_length_a 5.1864
_cell_length_b 8.0754
_cell_length_c 8.0933
_cell_angle_alpha 116.07
_cell_angle_beta 97.04
_cell_angle_gamma 97.22
loop_
_symmetry_equiv_pos_as_xyz
'x,y,z'
'-x,-y,-z'
loop_
_atom_site_label
_atom_site_type_symbol
_atom_site_fract_x
_atom_site_fract_y
_atom_site_fract_z
Li1 Li 0.2489 0.2432 0.2553
Mn1 Mn 0.1455 0.6937 0.3808
Mn2 Mn 0.3537 0.1191 0.8058
F1 F 0.0573 0.4471 0.2260
F2 F 0.0723 0.2529 0.7936
F3 F 0.1261 0.3098 0.5050
F4 F 0.1306 0.9565 0.8414
F5 F 0.2499 0.9637 0.5364
F6 F 0.3676 0.6581 0.5429
F7 F 0.3752 0.9952 0.1907
F8 F 0.4275 0.7059 0.2473
F9 F 0.4416 0.2739 0.0518
```

Peak list (12 most intense, 2θ from 10° to 90°, sorted by position)
| Position (°2θ) | I_rel | h k l |
| --- | --- | --- |
| 12.44 | 44 | 0 0 1 |
| 12.91 | 32 | 0 1 -1 |
| 19.43 | 33 | 1 0 -1 |
| 21.36 | 77 | 0 1 1 |
| 21.88 | 100 | 1 -1 1 |
| 25.03 | 18 | 0 0 2 |
| 25.98 | 25 | 0 2 -2 |
| 26.81 | 53 | 1 1 -2 |
| 31.55 | 19 | 1 2 -2 |
| 35.31 | 18 | 2 0 -1 |
| 39.45 | 19 | 2 0 -2 |
| 48.36 | 27 | 2 2 -3 |

Calculated X-ray diffraction stick pattern of Li2Mn7F16 for Cu Kα, 1.54184 Å, from a crystal structure in Alexandria, relaxed with PBE+U.
Peak positions follow from Bragg's law for the DFT cell and can differ from measured ones.

Atomic structure:
```
data_Li2Mn7F16
_symmetry_space_group_name_H-M 'R -3'
_symmetry_Int_Tables_number 148
_symmetry_space_group_name_Hall '-R 3'
_cell_length_a 6.5234
_cell_length_b 6.5234
_cell_length_c 26.1720
_cell_angle_alpha 90.00
_cell_angle_beta 90.00
_cell_angle_gamma 120.00
loop_
_atom_site_label
_atom_site_type_symbol
_atom_site_fract_x
_atom_site_fract_y
_atom_site_fract_z
Li1 Li 0.0000 0.0000 0.1758
Mn1 Mn 0.0000 0.0000 0.5000
Mn2 Mn 0.0041 0.6272 0.6108
F1 F 0.0000 0.0000 0.0948
F2 F 0.0000 0.0000 0.2764
F3 F 0.9995 0.4361 0.1286
F4 F 0.0264 0.3979 0.3025
```

Peak list (12 most intense, 2θ from 10° to 90°, sorted by position)
| Position (°2θ) | I_rel | h k l |
| --- | --- | --- |
| 10.14 | 41 | 0 0 3 |
| 20.77 | 22 | 1 0 4 |
| 23.17 | 18 | 0 1 5 |
| 29.23 | 100 | 1 1 3 |
| 30.75 | 28 | 0 0 9 |
| 34.33 | 11 | 2 -1 6 |
| 42.48 | 11 | 3 -1 1 |
| 48.33 | 39 | 3 0 0 |
| 50.33 | 41 | 1 1 12 |
| 57.49 | 11 | 4 -2 3 |
| 58.38 | 22 | 0 3 9 |
| 60.14 | 15 | 2 -1 15 |

Calculated X-ray diffraction stick pattern of Li4MnF7 for Cu Kα, 1.54184 Å, from a crystal structure in Alexandria, relaxed with PBE+U.
Peak positions follow from Bragg's law for the DFT cell and can differ from measured ones.

Atomic structure:
```
data_Li4MnF7
_symmetry_space_group_name_H-M 'C 1 2/c 1'
_symmetry_Int_Tables_number 15
_cell_length_a 12.4835
_cell_length_b 8.8647
_cell_length_c 5.4401
_cell_angle_alpha 90.00
_cell_angle_beta 104.48
_cell_angle_gamma 90.00
loop_
_symmetry_equiv_pos_as_xyz
'x,y,z'
'-x,-y,-z'
'-x,y,-z+1/2'
'x,-y,z+1/2'
'x+1/2,y+1/2,z'
'-x+1/2,-y+1/2,-z'
'-x+1/2,y+1/2,-z+1/2'
'x+1/2,-y+1/2,z+1/2'
loop_
_atom_site_label
_atom_site_type_symbol
_atom_site_fract_x
_atom_site_fract_y
_atom_site_fract_z
Li1 Li 0.1333 0.0540 0.2230
Li2 Li 0.1541 0.4018 0.3517
Mn1 Mn 0.0000 0.2675 0.7500
F1 F 0.0000 0.0529 0.7500
F2 F 0.0874 0.2563 0.0828
F3 F 0.0997 0.4148 0.6559
F4 F 0.1950 0.0914 0.5603
```

Peak list (12 most intense, 2θ from 10° to 90°, sorted by position)
| Position (°2θ) | I_rel | h k l |
| --- | --- | --- |
| 14.66 | 100 | 2 0 0 |
| 19.40 | 44 | 1 1 -1 |
| 22.40 | 65 | 1 1 1 |
| 24.91 | 48 | 2 2 0 |
| 26.26 | 84 | 3 1 -1 |
| 34.69 | 20 | 1 3 -1 |
| 36.52 | 34 | 1 3 1 |
| 37.22 | 18 | 3 1 -2 |
| 38.25 | 28 | 5 1 -1 |
| 38.60 | 18 | 5 1 0 |
| 39.12 | 21 | 3 3 -1 |
| 40.65 | 41 | 2 0 2 |

Please write out number 1 again, unchanged.
Calculated X-ray diffraction stick pattern of Li5MnF8 for Cu Kα, 1.54184 Å, from a crystal structure in Alexandria, relaxed with PBE+U.
Peak positions follow from Bragg's law for the DFT cell and can differ from measured ones.

Atomic structure:
```
data_Li5MnF8
_symmetry_space_group_name_H-M 'I m m m'
_symmetry_Int_Tables_number 71
_symmetry_space_group_name_Hall '-I 2 2'
_cell_length_a 5.6969
_cell_length_b 5.8333
_cell_length_c 8.9165
_cell_angle_alpha 90.00
_cell_angle_beta 90.00
_cell_angle_gamma 90.00
loop_
_atom_site_label
_atom_site_type_symbol
_atom_site_fract_x
_atom_site_fract_y
_atom_site_fract_z
Li1 Li 0.0000 0.0000 0.0000
Li2 Li 0.2500 0.2500 0.2500
Mn1 Mn 0.0000 0.5000 0.0000
F1 F 0.0000 0.0000 0.2252
F2 F 0.0000 0.5000 0.2370
F3 F 0.2284 0.2662 0.0000
```

Peak list (12 most intense, 2θ from 10° to 90°, sorted by position)
| Position (°2θ) | I_rel | h k l |
| --- | --- | --- |
| 18.17 | 48 | 0 1 1 |
| 18.48 | 100 | 1 0 1 |
| 21.81 | 27 | 1 1 0 |
| 29.70 | 23 | 1 1 2 |
| 33.85 | 14 | 0 1 3 |
| 36.03 | 19 | 1 2 1 |
| 36.83 | 12 | 0 2 2 |
| 37.47 | 11 | 2 0 2 |
| 40.47 | 47 | 0 0 4 |
| 44.46 | 72 | 2 2 0 |
| 53.88 | 12 | 1 0 5 |
| 61.67 | 41 | 2 2 4 |